# Sn3P4O14
Computed powder diffraction line list, Cu Kα (λ = 1.5418 Å). Input: the GGA-PBE geometry in the Materials Project.
Kinematic intensities with the Lorentz-polarization factor, no thermal factor.

Cell and atoms:
```
42
Lattice="8.928 0.000 0.000 0.000 8.933 0.000 -3.159 0.000 8.619" Properties=species:S:1:pos:R:3 pbc="T T T"
Sn 0.000 0.000 0.000
Sn -1.579 4.467 4.310
Sn 0.337 0.937 5.026
Sn 1.916 3.529 0.716
Sn 3.853 5.404 7.903
Sn 5.432 7.996 3.593
P -1.577 6.207 7.091
P 0.003 7.193 2.782
P 0.692 4.491 6.701
P 2.272 8.908 2.391
P 3.497 0.025 6.228
P 5.076 4.442 1.918
P 5.766 1.740 5.838
P 7.345 2.726 1.528
O -2.618 1.476 7.277
O -1.039 2.990 2.967
O -0.283 5.737 3.144
O -1.863 7.663 7.453
O -2.088 5.222 8.135
O -0.509 8.178 3.825
O 1.699 0.461 1.024
O 0.119 4.006 5.333
O 0.031 5.976 6.987
O 1.611 7.424 2.677
O 1.833 0.951 3.483
O 0.253 3.516 7.792
O 2.005 0.217 6.328
O 3.585 4.249 2.018
O 2.184 4.684 6.601
O 3.763 8.716 2.291
O 5.515 5.417 0.827
O 3.936 7.982 5.137
O 4.158 1.509 5.942
O 5.737 2.957 1.632
O 5.650 4.927 3.286
O 4.070 8.473 7.596
O 6.278 0.755 4.794
O 7.857 3.711 0.485
O 7.632 1.270 1.166
O 6.052 3.196 5.476
O 6.807 5.943 5.652
O 8.387 7.457 1.342
```

Main lines, by angle (10 to 90 degrees two-theta):
(1 0 0), 10.6 deg, rel. 100.0
(1 1 -1), 15.5 deg, rel. 67.3
(1 0 -2), 19.7 deg, rel. 62.6
(0 2 0), 19.9 deg, rel. 69.4
(2 1 -1), 22.4 deg, rel. 89.2
(0 1 2), 22.9 deg, rel. 46.5
(1 2 -2), 28.1 deg, rel. 90.8
(2 1 1), 28.5 deg, rel. 81.2
(1 3 0), 31.9 deg, rel. 58.9
(3 1 -3), 37.8 deg, rel. 52.3



# CdCuH8Cl4O4
Computed powder diffraction line list, Cu Kα (λ = 1.5418 Å). Input: the GGA-PBE geometry in the Materials Project.
Kinematic intensities with the Lorentz-polarization factor, no thermal factor.

Cell and atoms:
```
18
Lattice="3.884 0.000 0.000 1.835 7.024 0.000 1.164 0.105 8.724" Properties=species:S:1:pos:R:3 pbc="T T T"
Cd 0.000 0.000 0.000
Cu 2.524 0.052 4.362
H 1.959 2.354 5.339
H 1.783 3.081 1.762
H 2.493 2.499 3.853
H 2.879 4.053 2.293
H 4.005 3.076 6.431
H 4.391 4.631 4.871
H 5.101 4.048 6.963
H 4.925 4.776 3.385
Cl 2.810 6.743 6.057
Cl 3.079 1.904 8.498
Cl 3.804 5.226 0.227
Cl 4.074 0.387 2.668
O 2.076 3.549 2.577
O 2.629 1.987 4.703
O 4.255 5.143 4.021
O 4.808 3.580 6.147
```

Main lines, by angle (10 to 90 degrees two-theta):
(0 1 0), 12.6 deg, rel. 100.0
(0 0 2), 20.4 deg, rel. 32.6
(0 1 2), 23.9 deg, rel. 18.8
(0 2 0), 25.4 deg, rel. 14.9
(1 2 0), 30.3 deg, rel. 14.9
(1 -1 1), 30.6 deg, rel. 25.0
(1 2 -1), 33.1 deg, rel. 19.7
(1 0 3), 36.7 deg, rel. 17.2
(1 2 3), 41.1 deg, rel. 17.1
(0 0 4), 41.4 deg, rel. 15.5